Record 1
Theoretical X-ray powder pattern of Ta4GeH2 for Cu Kα (weighted mean of Kα1 and Kα2), from a crystal structure in Alexandria, relaxed with GGA-PBE.
Intensities are scaled so that the largest is 100.

Principal peaks in the range 15 to 90 degrees two-theta, sorted by position:
| d/Å | intensity |
| --- | --- |
| 3.258 | 33 |
| 2.559 | 29 |
| 2.435 | 65 |
| 2.399 | 47 |
| 2.373 | 100 |
| 2.272 | 74 |
| 1.548 | 38 |
| 1.242 | 22 |

Crystal structure
a b c (Å): 6.988 5.960 8.187
angles (deg): 56.60 45.41 77.99
Positions (direct):
Ta  0.116  0.314  0.004
Ta  0.246  0.683  0.134
Ta  0.314  0.116  0.567
Ta  0.316  0.684  0.481
Ta  0.683  0.246  0.936
Ta  0.684  0.316  0.519
Ta  0.731  0.769  0.566
Ta  0.769  0.731  0.934
Ge  0.124  0.124  0.376
Ge  0.874  0.874  0.126
H  0.381  0.514  0.307
H  0.453  0.943  0.736
H  0.514  0.381  0.797
H  0.943  0.453  0.869

=====

Record 2
Theoretical X-ray powder pattern of SrLi2Re for Cu Kα (weighted mean of Kα1 and Kα2), from a crystal structure in Alexandria, relaxed with GGA-PBE.
Intensities are scaled so that the largest is 100.

Principal peaks in the range 15 to 90 degrees two-theta, sorted by position:
| d/Å | intensity |
| --- | --- |
| 5.753 | 19 |
| 5.027 | 100 |
| 2.877 | 26 |
| 2.598 | 22 |
| 2.514 | 20 |
| 2.439 | 32 |
| 2.395 | 35 |
| 2.036 | 22 |

Crystal structure
a b c (Å): 5.233 5.233 5.776
angles (deg): 94.92 94.92 30.60
Positions (direct):
Sr  0.000  0.000  0.000
Li  0.236  0.236  0.678
Li  0.764  0.764  0.322
Re  0.500  0.500  0.500

=====

Record 3
Theoretical X-ray powder pattern of LiPu4Pt4 for Cu Kα (weighted mean of Kα1 and Kα2), from a crystal structure in Alexandria, relaxed with GGA-PBE.
Intensities are scaled so that the largest is 100.

Principal peaks in the range 15 to 90 degrees two-theta, sorted by position:
| d/Å | intensity |
| --- | --- |
| 4.095 | 21 |
| 2.372 | 28 |
| 2.348 | 100 |
| 1.910 | 25 |
| 1.488 | 23 |
| 1.365 | 19 |
| 1.174 | 9 |
| 1.171 | 17 |

Crystal structure
a b c (Å): 6.203 6.203 6.203
angles (deg): 98.41 98.41 135.03
Positions (direct):
Li  0.000  0.000  0.000
Pu  0.353  0.353  0.707
Pu  0.353  0.647  0.000
Pu  0.647  0.353  0.000
Pu  0.647  0.647  0.293
Pt  0.000  0.332  0.332
Pt  0.000  0.668  0.668
Pt  0.332  0.000  0.332
Pt  0.668  0.000  0.668

=====

Record 4
Theoretical X-ray powder pattern of La4SmRu2 for Cu Kα (weighted mean of Kα1 and Kα2), from a crystal structure in Alexandria, relaxed with GGA-PBE.
Intensities are scaled so that the largest is 100.

Principal peaks in the range 15 to 90 degrees two-theta, sorted by position:
| d/Å | intensity |
| --- | --- |
| 3.402 | 59 |
| 3.098 | 73 |
| 3.026 | 66 |
| 2.981 | 38 |
| 2.910 | 45 |
| 2.695 | 100 |
| 2.591 | 46 |
| 2.499 | 56 |

Crystal structure
a b c (Å): 7.935 6.800 8.090
angles (deg): 90.00 111.76 90.00
Positions (direct):
La  0.114  0.250  0.468
La  0.191  0.750  0.259
La  0.262  0.002  0.916
La  0.262  0.498  0.916
La  0.738  0.502  0.084
La  0.738  0.998  0.084
La  0.809  0.250  0.741
La  0.886  0.750  0.532
Sm  0.474  0.250  0.343
Sm  0.526  0.750  0.657
Ru  0.089  0.250  0.146
Ru  0.490  0.250  0.737
Ru  0.510  0.750  0.263
Ru  0.911  0.750  0.854

=====

Record 5
Theoretical X-ray powder pattern of NpCl4 for Cu Kα (weighted mean of Kα1 and Kα2), from a crystal structure in Alexandria, relaxed with GGA-PBE.
Intensities are scaled so that the largest is 100.

Principal peaks in the range 15 to 90 degrees two-theta, sorted by position:
| d/Å | intensity |
| --- | --- |
| 5.696 | 100 |
| 4.157 | 57 |
| 3.358 | 28 |
| 3.256 | 35 |
| 2.612 | 35 |
| 2.487 | 27 |
| 2.212 | 28 |
| 2.182 | 44 |

Crystal structure
a b c (Å): 7.060 7.060 7.060
angles (deg): 107.86 107.86 112.74
Positions (direct):
Np  0.375  0.625  0.750
Np  0.625  0.375  0.250
Cl  0.126  0.688  0.438
Cl  0.251  0.312  0.938
Cl  0.312  0.251  0.438
Cl  0.312  0.874  0.062
Cl  0.688  0.126  0.938
Cl  0.688  0.749  0.562
Cl  0.749  0.688  0.062
Cl  0.874  0.312  0.562

=====

Record 6
Theoretical X-ray powder pattern of Tm7Tl4N for Cu Kα (weighted mean of Kα1 and Kα2), from a crystal structure in Alexandria, relaxed with GGA-PBE.
Intensities are scaled so that the largest is 100.

Principal peaks in the range 15 to 90 degrees two-theta, sorted by position:
| d/Å | intensity |
| --- | --- |
| 4.507 | 19 |
| 3.607 | 25 |
| 2.622 | 100 |
| 2.607 | 87 |
| 2.551 | 41 |
| 2.408 | 43 |
| 1.965 | 18 |
| 1.751 | 27 |

Crystal structure
a b c (Å): 8.628 8.628 10.966
angles (deg): 127.57 127.57 32.41
Positions (direct):
Tm  0.000  0.000  0.000
Tm  0.124  0.124  0.545
Tm  0.279  0.279  0.146
Tm  0.449  0.449  0.762
Tm  0.551  0.551  0.238
Tm  0.721  0.721  0.854
Tm  0.876  0.876  0.455
Tl  0.086  0.086  0.793
Tl  0.225  0.225  0.371
Tl  0.775  0.775  0.629
Tl  0.914  0.914  0.207
N  0.500  0.500  0.000

=====

Record 7
Theoretical X-ray powder pattern of Tb5Ge4 for Cu Kα (weighted mean of Kα1 and Kα2), from a crystal structure in Alexandria, relaxed with GGA-PBE.
Intensities are scaled so that the largest is 100.

Principal peaks in the range 15 to 90 degrees two-theta, sorted by position:
| d/Å | intensity |
| --- | --- |
| 3.216 | 32 |
| 2.812 | 100 |
| 2.780 | 80 |
| 2.701 | 36 |
| 2.629 | 56 |
| 2.391 | 43 |
| 2.369 | 32 |
| 2.167 | 47 |

Crystal structure
a b c (Å): 5.852 5.852 9.948
angles (deg): 110.48 110.48 43.46
Positions (direct):
Tb  0.000  0.000  0.000
Tb  0.098  0.098  0.391
Tb  0.246  0.246  0.831
Tb  0.754  0.754  0.169
Tb  0.902  0.902  0.609
Ge  0.370  0.370  0.390
Ge  0.454  0.454  0.167
Ge  0.546  0.546  0.833
Ge  0.630  0.630  0.610

=====

Record 8
Theoretical X-ray powder pattern of CeErS4 for Cu Kα (weighted mean of Kα1 and Kα2), from a crystal structure in Alexandria, relaxed with GGA-PBE.
Intensities are scaled so that the largest is 100.

Principal peaks in the range 15 to 90 degrees two-theta, sorted by position:
| d/Å | intensity |
| --- | --- |
| 4.471 | 100 |
| 3.463 | 70 |
| 3.161 | 16 |
| 2.335 | 82 |
| 2.239 | 12 |
| 1.878 | 50 |
| 1.438 | 18 |
| 1.240 | 14 |

Crystal structure
a b c (Å): 6.323 6.323 4.140
angles (deg): 90.00 90.00 90.21
Positions (direct):
Ce  0.000  0.000  0.000
Er  0.500  0.500  0.500
S  0.198  0.802  0.500
S  0.303  0.303  0.000
S  0.697  0.697  0.000
S  0.802  0.198  0.500

=====

Record 9
Theoretical X-ray powder pattern of ThPd8Au4 for Cu Kα (weighted mean of Kα1 and Kα2), from a crystal structure in Alexandria, relaxed with GGA-PBE.
Intensities are scaled so that the largest is 100.

Principal peaks in the range 15 to 90 degrees two-theta, sorted by position:
| d/Å | intensity |
| --- | --- |
| 4.622 | 32 |
| 2.682 | 35 |
| 2.347 | 100 |
| 2.320 | 66 |
| 2.311 | 69 |
| 2.093 | 63 |
| 2.067 | 38 |
| 1.341 | 32 |

Crystal structure
a b c (Å): 7.082 7.082 7.082
angles (deg): 98.51 98.51 134.75
Positions (direct):
Th  0.000  0.000  0.000
Pd  0.000  0.346  0.346
Pd  0.000  0.654  0.654
Pd  0.288  0.500  0.788
Pd  0.346  0.000  0.346
Pd  0.500  0.288  0.788
Pd  0.500  0.712  0.212
Pd  0.654  0.000  0.654
Pd  0.712  0.500  0.212
Au  0.000  0.000  0.500
Au  0.000  0.500  0.000
Au  0.500  0.000  0.000
Au  0.500  0.500  0.500

=====

Record 10
Theoretical X-ray powder pattern of CaCu8Ni4 for Cu Kα (weighted mean of Kα1 and Kα2), from a crystal structure in Alexandria, relaxed with GGA-PBE.
Intensities are scaled so that the largest is 100.

Principal peaks in the range 15 to 90 degrees two-theta, sorted by position:
| d/Å | intensity |
| --- | --- |
| 4.181 | 12 |
| 2.412 | 24 |
| 2.090 | 100 |
| 1.869 | 82 |
| 1.321 | 8 |
| 1.261 | 6 |
| 1.207 | 19 |
| 1.160 | 7 |

Crystal structure
a b c (Å): 6.388 6.388 6.388
angles (deg): 98.17 98.17 135.70
Positions (direct):
Ca  0.000  0.000  0.000
Cu  0.000  0.351  0.351
Cu  0.000  0.649  0.649
Cu  0.274  0.500  0.774
Cu  0.351  0.000  0.351
Cu  0.500  0.274  0.774
Cu  0.500  0.726  0.226
Cu  0.649  0.000  0.649
Cu  0.726  0.500  0.226
Ni  0.000  0.000  0.500
Ni  0.000  0.500  0.000
Ni  0.500  0.000  0.000
Ni  0.500  0.500  0.500

=====

Record 11
Theoretical X-ray powder pattern of LiTeF for Cu Kα (weighted mean of Kα1 and Kα2), from a crystal structure in Alexandria, relaxed with GGA-PBE.
Intensities are scaled so that the largest is 100.

Principal peaks in the range 15 to 90 degrees two-theta, sorted by position:
| d/Å | intensity |
| --- | --- |
| 5.527 | 100 |
| 3.262 | 21 |
| 3.157 | 57 |
| 2.966 | 28 |
| 2.858 | 30 |
| 2.764 | 51 |
| 2.279 | 31 |
| 2.119 | 30 |

Crystal structure
a b c (Å): 7.027 6.435 7.575
angles (deg): 59.55 52.14 68.32
Positions (direct):
Li  0.335  0.665  0.508
Li  0.665  0.335  0.492
Li  0.742  0.758  0.915
Li  0.758  0.742  0.585
Te  0.007  0.127  0.771
Te  0.127  0.007  0.095
Te  0.155  0.479  0.123
Te  0.479  0.155  0.243
F  0.006  0.654  0.659
F  0.570  0.591  0.596
F  0.591  0.570  0.244
F  0.654  0.006  0.680

=====

Record 12
Theoretical X-ray powder pattern of KCdPbBr6 for Cu Kα (weighted mean of Kα1 and Kα2), from a crystal structure in Alexandria, relaxed with GGA-PBE.
Intensities are scaled so that the largest is 100.

Principal peaks in the range 15 to 90 degrees two-theta, sorted by position:
| d/Å | intensity |
| --- | --- |
| 4.797 | 50 |
| 3.289 | 100 |
| 2.587 | 84 |
| 2.291 | 21 |
| 2.130 | 39 |
| 2.024 | 31 |
| 1.644 | 17 |
| 1.382 | 17 |

Crystal structure
a b c (Å): 7.377 7.377 14.522
angles (deg): 90.00 90.00 120.00
Positions (direct):
K  0.000  0.000  0.000
K  0.000  0.000  0.500
Cd  0.333  0.667  0.250
Cd  0.667  0.333  0.750
Pb  0.333  0.667  0.750
Pb  0.667  0.333  0.250
Br  0.010  0.377  0.135
Br  0.010  0.633  0.365
Br  0.367  0.377  0.365
Br  0.367  0.990  0.135
Br  0.377  0.010  0.635
Br  0.377  0.367  0.865
Br  0.623  0.633  0.135
Br  0.623  0.990  0.365
Br  0.633  0.010  0.865
Br  0.633  0.623  0.635
Br  0.990  0.367  0.635
Br  0.990  0.623  0.865